1.
This entry pairs a crystal structure of LaPaBiO6 with its calculated powder diffractogram. Radiation: Cu Kα X-rays. Structure: a crystal structure in Alexandria, relaxed with PBE.
Neutral-atom scattering factors, no anomalous dispersion.

Largest 8 diffraction maxima, most intense first, 2θ = 10–90°:
d/Å  two_theta  I (rel.)
3.606  24.69  1000
2.934  30.46  631
1.929  47.12  541
2.546  35.26  300
2.276  39.60  290
1.798  50.76  289
5.118  17.33  285
1.694  54.14  203

Crystal structure
a = 5.869 Å, b = 5.869 Å, c = 10.236 Å
α = 90.00°, β = 90.00°, γ = 120.00°
Positions (direct):
1 La 0.000 0.000 0.000
2 La 0.000 0.000 0.500
3 Pa 0.333 0.667 0.250
4 Pa 0.667 0.333 0.750
5 Bi 0.333 0.667 0.750
6 Bi 0.667 0.333 0.250
7 O 0.010 0.353 0.136
8 O 0.010 0.657 0.364
9 O 0.343 0.353 0.364
10 O 0.343 0.990 0.136
11 O 0.353 0.010 0.636
12 O 0.353 0.343 0.864
13 O 0.647 0.657 0.136
14 O 0.647 0.990 0.364
15 O 0.657 0.010 0.864
16 O 0.657 0.647 0.636
17 O 0.990 0.343 0.636
18 O 0.990 0.647 0.864

---

2.
This entry pairs a crystal structure of LaPmBi2O8 with its calculated powder diffractogram. Radiation: Cu Kα X-rays. Structure: a crystal structure in Alexandria, relaxed with PBE.
Neutral-atom scattering factors, no anomalous dispersion.

Largest 8 diffraction maxima, most intense first, 2θ = 10–90°:
d/Å  two_theta  I (rel.)
3.250  27.44  1000
2.007  45.19  325
1.678  54.72  303
2.770  32.32  226
1.739  52.64  170
1.959  46.36  157
2.910  30.72  138
1.300  72.72  132

Crystal structure
a = 7.016 Å, b = 7.016 Å, c = 7.016 Å
α = 133.49°, β = 133.49°, γ = 67.88°
Positions (direct):
1 La 0.000 0.000 0.000
2 Pm 0.250 0.750 0.500
3 Bi 0.500 0.500 0.000
4 Bi 0.750 0.250 0.500
5 O 0.041 0.094 0.449
6 O 0.215 0.656 0.063
7 O 0.344 0.406 0.559
8 O 0.408 0.959 0.053
9 O 0.594 0.152 0.937
10 O 0.645 0.592 0.551
11 O 0.848 0.785 0.441
12 O 0.906 0.355 0.947

---

3.
This entry pairs a crystal structure of La4Pr2Bi3O2 with its calculated powder diffractogram. Radiation: Cu Kα X-rays. Structure: a crystal structure in Alexandria, relaxed with PBE.
Neutral-atom scattering factors, no anomalous dispersion.

Largest 8 diffraction maxima, most intense first, 2θ = 10–90°:
d/Å  two_theta  I (rel.)
2.735  32.74  1000
2.432  36.96  543
3.334  26.74  331
1.456  63.94  299
1.720  53.26  190
4.788  18.53  186
3.066  29.12  177
3.027  29.51  165

Crystal structure
a = 13.965 Å, b = 13.965 Å, c = 13.965 Å
α = 159.94°, β = 159.94°, γ = 28.52°
Positions (direct):
1 La 0.084 0.584 0.500
2 La 0.416 0.916 0.500
3 La 0.584 0.084 0.500
4 La 0.916 0.416 0.500
5 Pr 0.198 0.198 0.000
6 Pr 0.802 0.802 0.000
7 Bi 0.322 0.322 0.000
8 Bi 0.500 0.500 0.000
9 Bi 0.678 0.678 0.000
10 O 0.104 0.104 0.000
11 O 0.896 0.896 0.000